Diffraction record for Pm2HfSb3. The X-ray powder pattern is computed, not measured: it uses DFT lattice parameters and positions (PBE) and Cu Kα.

Structure:
```
data_Pm2HfSb3
_chemical_formula_sum 'Pm4 Hf2 Sb6'
_symmetry_space_group_name_H-M 'I 4/m m m'
_symmetry_Int_Tables_number 139
_symmetry_space_group_name_Hall '-I 4 2'
_cell_length_a 4.3662
_cell_length_b 4.3662
_cell_length_c 18.4054
_cell_angle_alpha 90.00
_cell_angle_beta 90.00
_cell_angle_gamma 90.00
loop_
_atom_site_label
_atom_site_type_symbol
_atom_site_fract_x
_atom_site_fract_y
_atom_site_fract_z
Pm1 Pm 0.0000 0.0000 0.1693
Hf1 Hf 0.0000 0.0000 0.5000
Sb1 Sb 0.0000 0.0000 0.0000
Sb2 Sb 0.0000 0.0000 0.3416
```

Principal peaks in the range 2θ from 10° to 90°, by angle:
| d (Å) | intensity | hkl |
| --- | --- | --- |
| 3.087 | 100.0 | 1 1 0 |
| 3.068 | 47.6 | 0 0 6 |
| 2.183 | 38.0 | 2 0 0 |
| 2.176 | 72.9 | 1 1 6 |
| 1.779 | 39.1 | 2 0 6 |
| 1.544 | 12.7 | 2 2 0 |
| 1.534 | 5.5 | 0 0 12 |
| 1.381 | 17.4 | 3 1 0 |
| 1.379 | 16.7 | 2 2 6 |
| 1.374 | 15.0 | 1 1 12 |
| 1.259 | 24.8 | 3 1 6 |
| 1.255 | 11.2 | 2 0 12 |

Diffraction record for YThTePt. The X-ray powder pattern is computed, not measured: it uses DFT lattice parameters and positions (PBE) and Cu Kα.

Structure:
```
data_YThTePt
_chemical_formula_sum 'Y3 Th3 Te3 Pt3'
_symmetry_space_group_name_H-M 'R 3 m'
_symmetry_Int_Tables_number 160
_symmetry_space_group_name_Hall 'R 3 -2"'
_cell_length_a 4.2011
_cell_length_b 4.2011
_cell_length_c 22.7240
_cell_angle_alpha 90.00
_cell_angle_beta 90.00
_cell_angle_gamma 120.00
loop_
_atom_site_label
_atom_site_type_symbol
_atom_site_fract_x
_atom_site_fract_y
_atom_site_fract_z
Y1 Y 0.0000 0.0000 0.0000
Th1 Th 0.0000 0.0000 0.1933
Te1 Te 0.0000 0.0000 0.7610
Pt1 Pt 0.0000 0.0000 0.5951
```

Principal peaks in the range 2θ from 10° to 90°, by angle:
| d (Å) | intensity | hkl |
| --- | --- | --- |
| 7.575 | 36.0 | 0 0 3 |
| 3.465 | 56.0 | 0 1 2 |
| 2.840 | 100.0 | 0 1 5 |
| 2.422 | 40.3 | 1 0 7 |
| 2.101 | 51.4 | 1 1 0 |
| 1.927 | 19.9 | 1 0 10 |
| 1.796 | 12.2 | 2 0 2 |
| 1.689 | 21.8 | 2 0 5 |
| 1.587 | 11.1 | 0 2 7 |
| 1.406 | 17.1 | 1 1 12 |
| 1.316 | 19.1 | 1 2 5 |
| 1.266 | 10.6 | 2 1 7 |

Diffraction record for BaSrBe2H8. The X-ray powder pattern is computed, not measured: it uses DFT lattice parameters and positions (PBE) and Cu Kα.

Structure:
```
data_BaSrBe2H8
_chemical_formula_sum 'Ba2 Sr2 Be4 H16'
_symmetry_space_group_name_H-M 'C 1 2/m 1'
_symmetry_Int_Tables_number 12
_symmetry_space_group_name_Hall '-C 2y'
_cell_length_a 7.4997
_cell_length_b 4.8337
_cell_length_c 8.5236
_cell_angle_alpha 90.00
_cell_angle_beta 92.77
_cell_angle_gamma 90.00
loop_
_atom_site_label
_atom_site_type_symbol
_atom_site_fract_x
_atom_site_fract_y
_atom_site_fract_z
Ba1 Ba 0.0000 0.0000 0.0000
Sr1 Sr 0.0000 0.0000 0.5000
Be1 Be 0.0768 0.5000 0.2632
H1 H 0.0346 0.2622 0.7402
H2 H 0.1678 0.5000 0.1134
H3 H 0.1758 0.5000 0.4143
```

Principal peaks in the range 2θ from 10° to 90°, by angle:
| d (Å) | intensity | hkl |
| --- | --- | --- |
| 4.257 | 54.4 | 0 0 2 |
| 4.062 | 100.0 | 1 1 0 |
| 3.745 | 53.1 | 2 0 0 |
| 2.978 | 59.3 | 1 1 -2 |
| 2.901 | 54.5 | 1 1 2 |
| 2.882 | 21.3 | 2 0 -2 |
| 2.747 | 19.1 | 2 0 2 |
| 2.218 | 23.9 | 3 1 0 |
| 2.102 | 18.7 | 0 2 2 |
| 2.031 | 17.7 | 2 2 0 |
| 2.003 | 17.7 | 3 1 -2 |
| 1.814 | 18.9 | 2 0 4 |

Diffraction record for Ca2Pm2Nd5. The X-ray powder pattern is computed, not measured: it uses DFT lattice parameters and positions (PBE) and Cu Kα.

Structure:
```
data_Ca2Pm2Nd5
_chemical_formula_sum 'Ca4 Pm4 Nd10'
_symmetry_space_group_name_H-M 'C 1 2/m 1'
_symmetry_Int_Tables_number 12
_symmetry_space_group_name_Hall '-C 2y'
_cell_length_a 15.7787
_cell_length_b 5.2621
_cell_length_c 8.2834
_cell_angle_alpha 90.00
_cell_angle_beta 108.76
_cell_angle_gamma 90.00
loop_
_atom_site_label
_atom_site_type_symbol
_atom_site_fract_x
_atom_site_fract_y
_atom_site_fract_z
Ca1 Ca 0.2219 0.0000 0.3317
Pm1 Pm 0.1645 0.5000 0.9964
Nd1 Nd 0.0000 0.0000 0.0000
Nd2 Nd 0.0478 0.5000 0.3282
Nd3 Nd 0.1051 0.0000 0.6727
```

Principal peaks in the range 2θ from 10° to 90°, by angle:
| d (Å) | intensity | hkl |
| --- | --- | --- |
| 7.470 | 9.1 | 2 0 0 |
| 3.031 | 100.0 | 3 1 1 |
| 2.630 | 33.7 | 0 2 0 |
| 2.614 | 16.8 | 0 0 3 |
| 1.859 | 17.7 | 6 2 -1 |
| 1.855 | 12.1 | 0 2 3 |
| 1.586 | 21.2 | 3 3 1 |
| 1.583 | 6.7 | 9 1 0 |
| 1.580 | 7.0 | 3 1 -5 |
| 1.576 | 7.9 | 3 1 4 |
| 1.513 | 6.2 | 6 2 2 |
| 1.176 | 6.2 | 6 4 -1 |

Diffraction record for ZnTe. The X-ray powder pattern is computed, not measured: it uses DFT lattice parameters and positions (PBE) and Cu Kα.

Structure:
```
data_ZnTe
_chemical_formula_sum 'Zn4 Te4'
_symmetry_space_group_name_H-M 'F -4 3 m'
_symmetry_Int_Tables_number 216
_symmetry_space_group_name_Hall 'F -4 2 3'
_cell_length_a 6.1788
_cell_length_b 6.1788
_cell_length_c 6.1788
_cell_angle_alpha 90.00
_cell_angle_beta 90.00
_cell_angle_gamma 90.00
loop_
_atom_site_label
_atom_site_type_symbol
_atom_site_fract_x
_atom_site_fract_y
_atom_site_fract_z
Zn1 Zn 0.0000 0.0000 0.0000
Te1 Te 0.2500 0.2500 0.7500
```

Principal peaks in the range 2θ from 10° to 90°, by angle:
| d (Å) | intensity | hkl |
| --- | --- | --- |
| 3.567 | 100.0 | 1 1 1 |
| 3.089 | 6.8 | 2 0 0 |
| 2.185 | 72.5 | 2 2 0 |
| 1.863 | 47.5 | 3 1 1 |
| 1.784 | 1.9 | 2 2 2 |
| 1.545 | 11.8 | 4 0 0 |
| 1.418 | 18.9 | 3 3 1 |
| 1.382 | 2.6 | 4 2 0 |
| 1.261 | 23.5 | 4 2 2 |
| 1.189 | 14.0 | 5 1 1 |
| 1.092 | 7.7 | 4 4 0 |